No. 1
This entry pairs a crystal structure of Al4Cu8Ge with its calculated powder XRD pattern. Radiation: Cu Kα (λ = 1.5418 Å). Structure: a crystal structure in Alexandria, relaxed with PBE.
No peak broadening, texture or thermal motion is included.

Principal peaks in the range 2θ from 15° to 90°, in order of rising 2θ:
d (Å), I/Imax
3.368, 24
2.229, 87
2.046, 100
1.946, 37
1.889, 35
1.738, 27

Crystal structure
a = 3.476 Å, b = 3.779 Å, c = 13.624 Å
α = 90.00°, β = 90.00°, γ = 90.00°
Atoms (fractional coordinates):
Al: 0.000 0.000 0.000
Al: 0.000 0.500 0.152
Al: 0.500 0.000 0.423
Al: 0.500 0.500 0.588
Cu: 0.000 0.000 0.284
Cu: 0.000 0.000 0.561
Cu: 0.000 0.500 0.433
Cu: 0.000 0.500 0.862
Cu: 0.500 0.000 0.143
Cu: 0.500 0.000 0.864
Cu: 0.500 0.500 0.006
Cu: 0.500 0.500 0.291
Ge: 0.000 0.000 0.735

No. 2
This entry pairs a crystal structure of Nd12Dy2Tm5 with its calculated powder XRD pattern. Radiation: Cu Kα (λ = 1.5418 Å). Structure: a crystal structure in Alexandria, relaxed with PBE.
No peak broadening, texture or thermal motion is included.

Principal peaks in the range 2θ from 15° to 90°, in order of rising 2θ:
d (Å), I/Imax
2.931, 76
2.843, 31
2.829, 100
2.781, 56
2.599, 22
2.041, 21

Crystal structure
a = 8.764 Å, b = 8.764 Å, c = 9.481 Å
α = 109.91°, β = 109.91°, γ = 84.01°
Atoms (fractional coordinates):
Nd: 0.027 0.548 0.690
Nd: 0.064 0.064 0.284
Nd: 0.139 0.658 0.096
Nd: 0.342 0.861 0.904
Nd: 0.398 0.398 0.575
Nd: 0.452 0.973 0.310
Nd: 0.548 0.027 0.690
Nd: 0.602 0.602 0.425
Nd: 0.658 0.139 0.096
Nd: 0.861 0.342 0.904
Nd: 0.936 0.936 0.716
Nd: 0.973 0.452 0.310
Dy: 0.215 0.785 0.500
Dy: 0.785 0.215 0.500
Tm: 0.197 0.197 0.734
Tm: 0.280 0.280 0.139
Tm: 0.500 0.500 0.000
Tm: 0.720 0.720 0.861
Tm: 0.803 0.803 0.266

No. 3
This entry pairs a crystal structure of Tm7TlIn2 with its calculated powder XRD pattern. Radiation: Cu Kα (λ = 1.5418 Å). Structure: a crystal structure in Alexandria, relaxed with PBE.
No peak broadening, texture or thermal motion is included.

Principal peaks in the range 2θ from 15° to 90°, in order of rising 2θ:
d (Å), I/Imax
5.547, 46
3.203, 58
2.774, 100
1.961, 74
1.673, 26
1.240, 33

Crystal structure
a = 7.845 Å, b = 7.845 Å, c = 7.845 Å
α = 60.00°, β = 60.00°, γ = 60.00°
Atoms (fractional coordinates):
Tm: 0.000 0.000 0.000
Tm: 0.246 0.246 0.754
Tm: 0.246 0.754 0.246
Tm: 0.246 0.754 0.754
Tm: 0.754 0.246 0.246
Tm: 0.754 0.246 0.754
Tm: 0.754 0.754 0.246
Tl: 0.500 0.500 0.500
In: 0.250 0.250 0.250
In: 0.750 0.750 0.750

No. 4
This entry pairs a crystal structure of Th3FeBi with its calculated powder XRD pattern. Radiation: Cu Kα (λ = 1.5418 Å). Structure: a crystal structure in Alexandria, relaxed with PBE.
No peak broadening, texture or thermal motion is included.

Principal peaks in the range 2θ from 15° to 90°, in order of rising 2θ:
d (Å), I/Imax
3.030, 100
2.801, 25
2.595, 23
2.503, 20
1.904, 17
1.515, 16

Crystal structure
a = 5.006 Å, b = 5.189 Å, c = 11.206 Å
α = 90.00°, β = 90.04°, γ = 90.00°
Atoms (fractional coordinates):
Th: 0.000 0.250 0.113
Th: 0.000 0.250 0.627
Th: 0.000 0.750 0.373
Th: 0.000 0.750 0.887
Th: 0.500 0.250 0.357
Th: 0.500 0.750 0.643
Fe: 0.000 0.250 0.356
Fe: 0.000 0.750 0.644
Bi: 0.500 0.250 0.864
Bi: 0.500 0.750 0.136

No. 5
This entry pairs a crystal structure of CaAc2PrNd with its calculated powder XRD pattern. Radiation: Cu Kα (λ = 1.5418 Å). Structure: a crystal structure in Alexandria, relaxed with PBE.
No peak broadening, texture or thermal motion is included.

Principal peaks in the range 2θ from 15° to 90°, in order of rising 2θ:
d (Å), I/Imax
4.842, 39
3.380, 24
3.274, 100
2.527, 38
2.421, 29
1.874, 32

Crystal structure
a = 6.463 Å, b = 8.886 Å, c = 7.309 Å
α = 90.00°, β = 90.00°, γ = 90.00°
Atoms (fractional coordinates):
Ca: 0.250 0.000 0.096
Ca: 0.750 0.000 0.904
Ac: 0.250 0.298 0.793
Ac: 0.250 0.702 0.793
Ac: 0.750 0.298 0.207
Ac: 0.750 0.702 0.207
Pr: 0.000 0.000 0.500
Pr: 0.500 0.000 0.500
Nd: 0.250 0.500 0.341
Nd: 0.750 0.500 0.659

No. 6
This entry pairs a crystal structure of Zr6H5 with its calculated powder XRD pattern. Radiation: Cu Kα (λ = 1.5418 Å). Structure: a crystal structure in Alexandria, relaxed with PBE.
No peak broadening, texture or thermal motion is included.

Principal peaks in the range 2θ from 15° to 90°, in order of rising 2θ:
d (Å), I/Imax
2.651, 100
2.635, 98
2.362, 75
2.161, 29
1.594, 43
1.416, 27

Crystal structure
a = 5.687 Å, b = 5.687 Å, c = 5.473 Å
α = 96.84°, β = 96.84°, γ = 122.48°
Atoms (fractional coordinates):
Zr: 0.084 0.415 0.747
Zr: 0.246 0.246 0.248
Zr: 0.415 0.084 0.747
Zr: 0.585 0.916 0.253
Zr: 0.754 0.754 0.752
Zr: 0.916 0.585 0.253
H: 0.160 0.840 0.000
H: 0.332 0.668 0.500
H: 0.500 0.500 0.000
H: 0.668 0.332 0.500
H: 0.840 0.160 0.000

No. 7
This entry pairs a crystal structure of Be17AlOs with its calculated powder XRD pattern. Radiation: Cu Kα (λ = 1.5418 Å). Structure: a crystal structure in Alexandria, relaxed with PBE.
No peak broadening, texture or thermal motion is included.

Principal peaks in the range 2θ from 15° to 90°, in order of rising 2θ:
d (Å), I/Imax
5.412, 100
4.087, 53
3.608, 66
3.004, 25
2.549, 50
1.804, 41

Crystal structure
a = 5.508 Å, b = 5.508 Å, c = 5.508 Å
α = 81.93°, β = 81.93°, γ = 81.93°
Atoms (fractional coordinates):
Be: 0.005 0.498 0.498
Be: 0.058 0.058 0.058
Be: 0.157 0.157 0.658
Be: 0.157 0.658 0.157
Be: 0.160 0.460 0.848
Be: 0.160 0.848 0.460
Be: 0.258 0.258 0.258
Be: 0.328 0.807 0.807
Be: 0.460 0.160 0.848
Be: 0.460 0.848 0.160
Be: 0.498 0.005 0.498
Be: 0.498 0.498 0.005
Be: 0.658 0.157 0.157
Be: 0.807 0.328 0.807
Be: 0.807 0.807 0.328
Be: 0.848 0.160 0.460
Be: 0.848 0.460 0.160
Al: 0.813 0.813 0.813
Os: 0.483 0.483 0.483

No. 8
This entry pairs a crystal structure of Zr6HgPb with its calculated powder XRD pattern. Radiation: Cu Kα (λ = 1.5418 Å). Structure: a crystal structure in Alexandria, relaxed with PBE.
No peak broadening, texture or thermal motion is included.

Principal peaks in the range 2θ from 15° to 90°, in order of rising 2θ:
d (Å), I/Imax
2.585, 100
2.246, 33
2.223, 16
1.580, 22
1.353, 26
1.343, 13

Crystal structure
a = 4.492 Å, b = 4.492 Å, c = 8.893 Å
α = 90.00°, β = 90.00°, γ = 90.00°
Atoms (fractional coordinates):
Zr: 0.000 0.000 0.000
Zr: 0.000 0.000 0.500
Zr: 0.000 0.500 0.247
Zr: 0.000 0.500 0.753
Zr: 0.500 0.000 0.247
Zr: 0.500 0.000 0.753
Hg: 0.500 0.500 0.000
Pb: 0.500 0.500 0.500